Diffraction record for TiMn3Cr2P6O24. The X-ray diffraction stick pattern is theoretical, not measured: it uses a crystal structure in the Materials Project, relaxed with GGA+U and Cu Kα X-rays.
Intensities are scaled so that the largest is 100.

Crystal structure
Cell lengths 8.4587, 8.4587, 8.4587 Å; angles 61.71, 61.71, 61.71 degrees
Atoms (fractional coordinates):
Ti 0.0000 0.0000 0.0000
Mn 0.2936 0.2936 0.2936
Mn 0.5010 0.5010 0.5010
Mn 0.7926 0.7926 0.7926
Cr 0.1468 0.1468 0.1468
Cr 0.6482 0.6482 0.6482
P 0.0964 0.6976 0.3979
P 0.1965 0.5967 0.8968
P 0.3979 0.0964 0.6976
P 0.5967 0.8968 0.1965
P 0.6976 0.3979 0.0964
P 0.8968 0.1965 0.5967
O 0.0448 0.6344 0.8255
O 0.0535 0.2119 0.3950
O 0.0779 0.9016 0.2375
O 0.1357 0.7580 0.9754
O 0.1370 0.5433 0.3248
O 0.2119 0.3950 0.0535
O 0.2375 0.0779 0.9016
O 0.2457 0.6657 0.4673
O 0.3248 0.1370 0.5433
O 0.3950 0.0535 0.2119
O 0.3964 0.5930 0.7486
O 0.4673 0.2457 0.6657
O 0.5433 0.3248 0.1370
O 0.5485 0.8922 0.7150
O 0.5930 0.7486 0.3964
O 0.6344 0.8255 0.0448
O 0.6657 0.4673 0.2457
O 0.7150 0.5485 0.8922
O 0.7486 0.3964 0.5930
O 0.7580 0.9754 0.1357
O 0.8255 0.0448 0.6344
O 0.8922 0.7150 0.5485
O 0.9016 0.2375 0.0779
O 0.9754 0.1357 0.7580

Main lines, by angle (2θ from 15° to 90°):
20.47°, I 68
24.32°, I 100
25.25°, I 13
31.81°, I 14
33.44°, I 63
35.85°, I 37
47.88°, I 24
49.83°, I 26
56.09°, I 20
62.90°, I 21



Diffraction record for Li2MnF4. The X-ray diffraction stick pattern is theoretical, not measured: it uses a crystal structure in the Materials Project, relaxed with GGA+U and Cu Kα X-rays.
Intensities are scaled so that the largest is 100.

Crystal structure
Cell lengths 9.7408, 9.7408, 9.7408 Å; angles 101.04, 101.04, 128.10 degrees
Atoms (fractional coordinates):
Li 0.0000 0.1429 0.1429
Li 0.0000 0.8571 0.8571
Li 0.1429 0.0000 0.6429
Li 0.1429 0.5000 0.1429
Li 0.2444 0.4944 0.4887
Li 0.2444 0.7556 0.7500
Li 0.4944 0.2444 0.9887
Li 0.4944 0.5056 0.2500
Li 0.5000 0.1429 0.6429
Li 0.5000 0.8571 0.3571
Li 0.5056 0.4944 0.7500
Li 0.5056 0.7556 0.0113
Li 0.7556 0.2444 0.2500
Li 0.7556 0.5056 0.5113
Li 0.8571 0.0000 0.3571
Li 0.8571 0.5000 0.8571
Mn 0.1105 0.7247 0.3858
Mn 0.1611 0.2753 0.8858
Mn 0.2753 0.1611 0.3858
Mn 0.2753 0.8895 0.1142
Mn 0.7247 0.1105 0.8858
Mn 0.7247 0.8389 0.6142
Mn 0.8389 0.7247 0.1142
Mn 0.8895 0.2753 0.6142
F 0.0123 0.6435 0.1312
F 0.0123 0.8810 0.3688
F 0.1076 0.2298 0.3657
F 0.1076 0.7419 0.8778
F 0.1190 0.9877 0.1312
F 0.1298 0.5130 0.6168
F 0.2298 0.1076 0.8657
F 0.2298 0.3641 0.1222
F 0.2581 0.6359 0.3657
F 0.2581 0.8924 0.6222
F 0.3565 0.9877 0.3688
F 0.3641 0.2298 0.6222
F 0.3641 0.7419 0.1343
F 0.3962 0.5130 0.8832
F 0.4870 0.6038 0.6168
F 0.4870 0.8702 0.8832
F 0.5130 0.1298 0.1168
F 0.5130 0.3962 0.3832
F 0.6038 0.4870 0.1168
F 0.6359 0.2581 0.8657
F 0.6359 0.7702 0.3778
F 0.6435 0.0123 0.6312
F 0.7419 0.1076 0.3778
F 0.7419 0.3641 0.6343
F 0.7702 0.6359 0.8778
F 0.7702 0.8924 0.1343
F 0.8702 0.4870 0.3832
F 0.8810 0.0123 0.8688
F 0.8924 0.2581 0.1222
F 0.8924 0.7702 0.6343
F 0.9877 0.1190 0.6312
F 0.9877 0.3565 0.8688

Main lines, by angle (2θ from 15° to 90°):
19.11°, I 54
23.95°, I 45
25.37°, I 30
28.00°, I 18
31.58°, I 33
32.32°, I 39
41.23°, I 100
42.42°, I 34
59.72°, I 30
60.64°, I 43



Diffraction record for Fe2WC10Se2O10. The X-ray diffraction stick pattern is theoretical, not measured: it uses a crystal structure in the Materials Project, relaxed with GGA+U and Cu Kα X-rays.
Intensities are scaled so that the largest is 100.

Crystal structure
Cell lengths 7.1683, 9.6293, 14.1816 Å; angles 82.61, 82.52, 86.24 degrees
Atoms (fractional coordinates):
Fe 0.1430 0.1740 0.1363
Fe 0.2145 0.4939 0.2266
Fe 0.7855 0.5061 0.7734
Fe 0.8570 0.8260 0.8637
W 0.1054 0.2288 0.3319
W 0.8946 0.7712 0.6681
C 0.0542 0.6278 0.2743
C 0.0666 0.6559 0.5753
C 0.0692 0.9105 0.8738
C 0.1302 0.8876 0.6374
C 0.1954 0.2476 0.0155
C 0.2185 0.0276 0.3609
C 0.2713 0.5793 0.1094
C 0.2801 0.2544 0.4324
C 0.2858 0.0128 0.1347
C 0.4079 0.5448 0.2831
C 0.5921 0.4552 0.7169
C 0.7142 0.9872 0.8653
C 0.7199 0.7456 0.5676
C 0.7287 0.4207 0.8906
C 0.7815 0.9724 0.6391
C 0.8046 0.7524 0.9845
C 0.8698 0.1124 0.3626
C 0.9308 0.0895 0.1262
C 0.9334 0.3441 0.4247
C 0.9458 0.3722 0.7257
Se 0.0444 0.6268 0.8116
Se 0.3902 0.2793 0.1979
Se 0.6098 0.7207 0.8021
Se 0.9556 0.3732 0.1884
O 0.0454 0.2831 0.6976
O 0.1638 0.5949 0.5210
O 0.2050 0.9639 0.8826
O 0.2277 0.2970 0.9366
O 0.2628 0.9537 0.6201
O 0.2787 0.9140 0.3795
O 0.3061 0.6331 0.0317
O 0.3774 0.9094 0.1333
O 0.3790 0.2689 0.4885
O 0.4660 0.4240 0.6825
O 0.5340 0.5760 0.3175
O 0.6210 0.7311 0.5115
O 0.6226 0.0906 0.8667
O 0.6939 0.3669 0.9683
O 0.7213 0.0860 0.6205
O 0.7372 0.0463 0.3799
O 0.7723 0.7030 0.0634
O 0.7950 0.0361 0.1174
O 0.8362 0.4051 0.4790
O 0.9546 0.7169 0.3024

Main lines, by angle (2θ from 15° to 90°):
15.18°, I 87
15.93°, I 66
17.31°, I 70
18.03°, I 56
18.61°, I 56
29.58°, I 100
31.40°, I 53
34.58°, I 53
39.62°, I 54
41.01°, I 66



Diffraction record for LaCrCoO6. The X-ray diffraction stick pattern is theoretical, not measured: it uses a crystal structure in the Materials Project, relaxed with GGA+U and Cu Kα X-rays.
Intensities are scaled so that the largest is 100.

Crystal structure
Cell lengths 5.2718, 6.1541, 9.1233 Å; angles 90.00, 124.59, 90.00 degrees
Atoms (fractional coordinates):
La 0.0000 0.1229 0.0000
La 0.0000 0.8771 0.5000
Cr 0.2577 0.3287 0.7372
Cr 0.2577 0.6713 0.2372
Co 0.7856 0.3264 0.2395
Co 0.7856 0.6736 0.7395
O 0.0169 0.0927 0.2856
O 0.0169 0.9073 0.7856
O 0.0196 0.4117 0.8151
O 0.0196 0.5883 0.3151
O 0.4027 0.4402 0.2137
O 0.4027 0.5598 0.7137
O 0.4501 0.1040 0.7295
O 0.4501 0.8960 0.2295
O 0.5588 0.2823 0.9941
O 0.5588 0.7177 0.4941
O 0.9388 0.2800 0.5286
O 0.9388 0.7200 0.0286

Main lines, by angle (2θ from 15° to 90°):
18.64°, I 77
20.47°, I 76
20.70°, I 53
25.31°, I 38
27.83°, I 64
32.54°, I 58
32.85°, I 59
33.73°, I 100
34.01°, I 42
46.82°, I 42